The following is a calculated X-ray diffraction stick pattern of Fe2PCO7. It was derived from a DFT-relaxed cell (GGA+U, the Materials Project), using CuKα.
Peak positions follow from Bragg's law for the DFT cell and can differ from measured ones.

Top 10 peaks for 2θ = 15–90°, sorted by position:
d = 5.179 Å, 17.12°, rel. 49; d = 5.130 Å, 17.29°, rel. 100; d = 4.066 Å, 21.86°, rel. 25; d = 3.596 Å, 24.76°, rel. 37; d = 3.048 Å, 29.31°, rel. 31; d = 3.018 Å, 29.60°, rel. 68; d = 2.860 Å, 31.27°, rel. 46; d = 2.542 Å, 35.31°, rel. 55; d = 2.164 Å, 41.73°, rel. 26; d = 2.087 Å, 43.35°, rel. 31

Cell and atoms:
```
data_Fe2PCO7
_chemical_formula_sum 'Fe8 P4 C4 O28'
_symmetry_space_group_name_H-M 'P 1 21/c 1'
_symmetry_Int_Tables_number 14
_symmetry_space_group_name_Hall '-P 2ybc'
_cell_length_a 10.2111
_cell_length_b 6.4627
_cell_length_c 9.6678
_cell_angle_alpha 90.00
_cell_angle_beta 116.43
_cell_angle_gamma 90.00
loop_
_atom_site_label
_atom_site_type_symbol
_atom_site_fract_x
_atom_site_fract_y
_atom_site_fract_z
Fe1 Fe 0.1363 0.1447 0.0055
Fe2 Fe 0.2380 0.0201 0.7394
P1 P 0.0997 0.6676 0.8843
C1 C 0.4671 0.0499 0.0509
O1 O 0.0456 0.1038 0.7570
O2 O 0.0659 0.6639 0.4829
O3 O 0.1550 0.0218 0.4985
O4 O 0.2100 0.7442 0.8308
O5 O 0.2552 0.1944 0.2090
O6 O 0.3315 0.0957 0.9769
O7 O 0.4517 0.5770 0.3085
```